[1]
Y3Ni: theoretical powder diffraction line list (Cu Kα), based on a crystal structure in Alexandria, relaxed with GGA-PBE.
Kinematic intensities with the Lorentz-polarization factor, no thermal factor.

Principal peaks in the range 2θ = 10–90°, in order of falling intensity:
2θ (°)	d_spacing	Rel. int.
31.2	2.870	100.0
32.3	2.769	89.3
30.9	2.890	85.2
31.9	2.802	65.6
35.0	2.565	64.6
33.8	2.649	53.8
38.3	2.350	35.6
48.7	1.870	32.8
57.2	1.611	27.6
36.2	2.479	27.0
59.6	1.552	24.3
41.8	2.159	24.3

Unit cell a=6.886 b=9.647 c=6.369 alpha=90.00 beta=90.00 gamma=90.00
Element x y z (fractional)
Y (0.034, 0.250, 0.141)
Y (0.178, 0.067, 0.679)
Y (0.178, 0.433, 0.679)
Y (0.322, 0.567, 0.179)
Y (0.322, 0.933, 0.179)
Y (0.466, 0.750, 0.641)
Y (0.534, 0.250, 0.359)
Y (0.678, 0.067, 0.821)
Y (0.678, 0.433, 0.821)
Y (0.822, 0.567, 0.321)
Y (0.822, 0.933, 0.321)
Y (0.966, 0.750, 0.859)
Ni (0.109, 0.750, 0.447)
Ni (0.391, 0.250, 0.947)
Ni (0.609, 0.750, 0.053)
Ni (0.891, 0.250, 0.553)

[2]
Y2Ni17: theoretical powder diffraction line list (Cu Kα), based on a crystal structure in Alexandria, relaxed with GGA-PBE.
Kinematic intensities with the Lorentz-polarization factor, no thermal factor.

Principal peaks in the range 2θ = 10–90°, in order of falling intensity:
2θ (°)	d_spacing	Rel. int.
44.0	2.057	100.0
43.6	2.075	66.0
49.5	1.843	56.6
42.1	2.146	43.9
45.2	2.007	36.1
37.5	2.396	35.0
80.1	1.198	23.2
82.6	1.168	22.3
31.0	2.885	15.3
64.6	1.442	14.0
72.2	1.308	13.4
52.2	1.753	12.8

Unit cell a=8.299 b=8.299 c=8.027 alpha=90.00 beta=90.00 gamma=120.00
Element x y z (fractional)
Y (0.000, 0.000, 0.250)
Y (0.000, 0.000, 0.750)
Y (0.333, 0.667, 0.250)
Y (0.667, 0.333, 0.750)
Ni (0.000, 0.500, 0.000)
Ni (0.000, 0.500, 0.500)
Ni (0.044, 0.372, 0.750)
Ni (0.044, 0.672, 0.750)
Ni (0.166, 0.332, 0.021)
Ni (0.166, 0.332, 0.479)
Ni (0.166, 0.834, 0.021)
Ni (0.166, 0.834, 0.479)
Ni (0.328, 0.372, 0.750)
Ni (0.328, 0.956, 0.750)
Ni (0.332, 0.166, 0.521)
Ni (0.332, 0.166, 0.979)
Ni (0.333, 0.667, 0.602)
Ni (0.333, 0.667, 0.898)
Ni (0.372, 0.044, 0.250)
Ni (0.372, 0.328, 0.250)
Ni (0.500, 0.000, 0.000)
Ni (0.500, 0.000, 0.500)
Ni (0.500, 0.500, 0.000)
Ni (0.500, 0.500, 0.500)
Ni (0.628, 0.672, 0.750)
Ni (0.628, 0.956, 0.750)
Ni (0.667, 0.333, 0.102)
Ni (0.667, 0.333, 0.398)
Ni (0.668, 0.834, 0.021)
Ni (0.668, 0.834, 0.479)
Ni (0.672, 0.044, 0.250)
Ni (0.672, 0.628, 0.250)
Ni (0.834, 0.166, 0.521)
Ni (0.834, 0.166, 0.979)
Ni (0.834, 0.668, 0.521)
Ni (0.834, 0.668, 0.979)
Ni (0.956, 0.328, 0.250)
Ni (0.956, 0.628, 0.250)

[3]
Y3Ni2: theoretical powder diffraction line list (Cu Kα), based on a crystal structure in Alexandria, relaxed with GGA-PBE.
Kinematic intensities with the Lorentz-polarization factor, no thermal factor.

Principal peaks in the range 2θ = 10–90°, in order of falling intensity:
2θ (°)	d_spacing	Rel. int.
32.4	2.764	100.0
34.7	2.582	52.3
37.7	2.388	50.8
37.0	2.427	45.2
45.1	2.009	37.5
55.5	1.655	35.3
41.9	2.155	34.8
27.9	3.201	32.9
12.3	7.169	24.9
49.0	1.861	21.8
78.9	1.214	17.3
66.4	1.408	16.7

Unit cell a=7.486 b=7.486 c=3.721 alpha=90.00 beta=90.00 gamma=146.54
Element x y z (fractional)
Y (0.000, 0.000, 0.000)
Y (0.348, 0.652, 0.500)
Y (0.652, 0.348, 0.500)
Ni (0.198, 0.802, 0.000)
Ni (0.802, 0.198, 0.000)

[4]
Y2Ni7: theoretical powder diffraction line list (Cu Kα), based on a crystal structure in Alexandria, relaxed with GGA-PBE.
Kinematic intensities with the Lorentz-polarization factor, no thermal factor.

Principal peaks in the range 2θ = 10–90°, in order of falling intensity:
2θ (°)	d_spacing	Rel. int.
42.9	2.108	100.0
33.3	2.687	36.9
36.3	2.475	32.7
42.3	2.135	29.6
46.3	1.959	23.6
45.1	2.012	21.5
77.1	1.238	21.5
69.9	1.347	21.5
66.6	1.404	12.8
63.4	1.467	12.3
42.2	2.143	10.4
48.1	1.892	10.2

Unit cell a=4.950 b=4.950 c=24.144 alpha=90.00 beta=90.00 gamma=120.00
Element x y z (fractional)
Y (0.333, 0.667, 0.029)
Y (0.333, 0.667, 0.174)
Y (0.333, 0.667, 0.326)
Y (0.333, 0.667, 0.471)
Y (0.667, 0.333, 0.529)
Y (0.667, 0.333, 0.674)
Y (0.667, 0.333, 0.826)
Y (0.667, 0.333, 0.971)
Ni (0.000, 0.000, 0.000)
Ni (0.000, 0.000, 0.168)
Ni (0.000, 0.000, 0.332)
Ni (0.000, 0.000, 0.500)
Ni (0.000, 0.000, 0.668)
Ni (0.000, 0.000, 0.832)
Ni (0.167, 0.334, 0.586)
Ni (0.167, 0.334, 0.750)
Ni (0.167, 0.334, 0.914)
Ni (0.167, 0.833, 0.586)
Ni (0.167, 0.833, 0.750)
Ni (0.167, 0.833, 0.914)
Ni (0.333, 0.667, 0.667)
Ni (0.333, 0.667, 0.833)
Ni (0.334, 0.167, 0.086)
Ni (0.334, 0.167, 0.250)
Ni (0.334, 0.167, 0.414)
Ni (0.666, 0.833, 0.586)
Ni (0.666, 0.833, 0.750)
Ni (0.666, 0.833, 0.914)
Ni (0.667, 0.333, 0.167)
Ni (0.667, 0.333, 0.333)
Ni (0.833, 0.167, 0.086)
Ni (0.833, 0.167, 0.250)
Ni (0.833, 0.167, 0.414)
Ni (0.833, 0.666, 0.086)
Ni (0.833, 0.666, 0.250)
Ni (0.833, 0.666, 0.414)

[5]
YZn10Ni2: theoretical powder diffraction line list (Cu Kα), based on a crystal structure in Alexandria, relaxed with GGA-PBE.
Kinematic intensities with the Lorentz-polarization factor, no thermal factor.

Principal peaks in the range 2θ = 10–90°, in order of falling intensity:
2θ (°)	d_spacing	Rel. int.
40.8	2.214	100.0
41.4	2.181	63.6
41.1	2.198	52.8
35.3	2.544	43.3
46.3	1.960	35.2
74.6	1.272	29.7
46.5	1.953	25.7
46.0	1.972	25.5
45.6	1.988	17.5
35.8	2.505	16.7
88.3	1.107	13.2
74.0	1.281	12.3

Unit cell a=8.858 b=6.774 c=6.718 alpha=82.07 beta=49.24 gamma=48.69
Element x y z (fractional)
Y (0.000, 0.000, 0.000)
Zn (0.000, 0.500, 0.000)
Zn (0.015, 0.653, 0.347)
Zn (0.283, 0.508, 0.492)
Zn (0.347, 0.985, 0.015)
Zn (0.492, 0.717, 0.283)
Zn (0.500, 0.000, 0.500)
Zn (0.508, 0.283, 0.717)
Zn (0.653, 0.015, 0.985)
Zn (0.717, 0.492, 0.508)
Zn (0.985, 0.347, 0.653)
Ni (0.000, 0.000, 0.500)
Ni (0.500, 0.500, 0.000)